# 1
Theoretical powder diffractogram
Compound: Na16CdGa12
Radiation: Cu Kα (λ = 1.5418 Å)
Structure: a structure optimized by DFT (GGA-PBE)
Kinematic intensities with the Lorentz-polarization factor, no thermal factor.

Principal peaks in the range 10 to 90 degrees two-theta, by intensity:
Position (°2θ), I_rel
19.5, 100
34.3, 95
34.2, 69
37.9, 58
34.5, 44
38.0, 43
38.5, 39
11.2, 38

Structural model:
abc: 9.643 9.643 9.493
angles: 109.19 109.19 109.80
Element x y z (fractional)
Na 0.000 0.000 0.000
Na 0.001 0.001 0.647
Na 0.001 0.408 0.689
Na 0.006 0.686 0.409
Na 0.282 0.592 0.595
Na 0.310 0.310 0.715
Na 0.318 0.712 0.309
Na 0.358 0.358 0.347
Na 0.408 0.001 0.689
Na 0.417 0.680 0.010
Na 0.592 0.282 0.595
Na 0.646 0.998 0.003
Na 0.680 0.417 0.010
Na 0.686 0.006 0.409
Na 0.712 0.318 0.309
Na 0.998 0.646 0.003
Cd 0.637 0.637 0.325
Ga 0.177 0.999 0.355
Ga 0.180 0.355 0.999
Ga 0.181 0.819 0.825
Ga 0.349 0.995 0.172
Ga 0.355 0.180 0.999
Ga 0.644 0.644 0.817
Ga 0.645 0.826 0.648
Ga 0.819 0.181 0.825
Ga 0.824 0.824 0.183
Ga 0.826 0.645 0.648
Ga 0.995 0.349 0.172
Ga 0.999 0.177 0.355

# 2
Theoretical powder diffractogram
Compound: CsHoMn2Cl8
Radiation: Cu Kα (λ = 1.5418 Å)
Structure: a structure optimized by DFT (GGA-PBE)
Kinematic intensities with the Lorentz-polarization factor, no thermal factor.

Principal peaks in the range 10 to 90 degrees two-theta, by intensity:
Position (°2θ), I_rel
19.2, 100
27.5, 44
43.5, 33
32.2, 28
27.0, 26
33.8, 25
48.7, 23
44.1, 22

Structural model:
abc: 11.490 11.490 11.490
angles: 32.75 32.75 32.75
Element x y z (fractional)
Cs 0.000 0.000 0.000
Ho 0.500 0.500 0.500
Mn 0.243 0.243 0.243
Mn 0.757 0.757 0.757
Cl 0.136 0.440 0.767
Cl 0.233 0.560 0.864
Cl 0.313 0.313 0.313
Cl 0.440 0.767 0.136
Cl 0.560 0.864 0.233
Cl 0.687 0.687 0.687
Cl 0.767 0.136 0.440
Cl 0.864 0.233 0.560

# 3
Theoretical powder diffractogram
Compound: In4As
Radiation: Cu Kα (λ = 1.5418 Å)
Structure: a structure optimized by DFT (GGA-PBE)
Kinematic intensities with the Lorentz-polarization factor, no thermal factor.

Principal peaks in the range 10 to 90 degrees two-theta, by intensity:
Position (°2θ), I_rel
33.1, 100
39.5, 30
54.7, 22
67.5, 22
36.3, 19
63.3, 15
69.5, 10
57.0, 9

Structural model:
abc: 5.676 5.676 5.676
angles: 100.97 100.97 128.27
Element x y z (fractional)
In 0.114 0.700 0.813
In 0.300 0.114 0.414
In 0.700 0.886 0.586
In 0.886 0.300 0.187
As 0.500 0.500 0.000

# 4
Theoretical powder diffractogram
Compound: ErCoSnPd
Radiation: Cu Kα (λ = 1.5418 Å)
Structure: a structure optimized by DFT (GGA-PBE)
Kinematic intensities with the Lorentz-polarization factor, no thermal factor.

Principal peaks in the range 10 to 90 degrees two-theta, by intensity:
Position (°2θ), I_rel
38.6, 100
69.7, 35
55.7, 17
82.6, 11
27.0, 8
23.3, 5
62.9, 4
47.7, 3

Structural model:
abc: 4.671 4.671 4.671
angles: 60.00 60.00 60.00
Element x y z (fractional)
Er 0.000 0.000 0.000
Co 0.250 0.250 0.250
Sn 0.500 0.500 0.500
Pd 0.750 0.750 0.750

# 5
Theoretical powder diffractogram
Compound: Na8B11C5
Radiation: Cu Kα (λ = 1.5418 Å)
Structure: a structure optimized by DFT (GGA-PBE)
Kinematic intensities with the Lorentz-polarization factor, no thermal factor.

Principal peaks in the range 10 to 90 degrees two-theta, by intensity:
Position (°2θ), I_rel
42.3, 100
40.8, 49
42.0, 39
63.5, 17
79.1, 17
36.5, 16
77.0, 13
34.8, 12

Structural model:
abc: 2.799 10.030 10.030
angles: 118.15 90.00 90.00
Element x y z (fractional)
Na 0.000 0.123 0.877
Na 0.000 0.376 0.628
Na 0.000 0.628 0.376
Na 0.000 0.877 0.123
Na 0.500 0.125 0.375
Na 0.500 0.375 0.125
Na 0.500 0.628 0.878
Na 0.500 0.878 0.628
B 0.000 0.089 0.592
B 0.000 0.153 0.153
B 0.000 0.326 0.326
B 0.000 0.427 0.926
B 0.000 0.592 0.089
B 0.000 0.675 0.675
B 0.000 0.926 0.427
B 0.500 0.318 0.819
B 0.500 0.441 0.441
B 0.500 0.819 0.318
B 0.500 0.913 0.913
C 0.000 0.833 0.833
C 0.500 0.073 0.073
C 0.500 0.168 0.671
C 0.500 0.593 0.593
C 0.500 0.671 0.168

# 6
Theoretical powder diffractogram
Compound: Ac2PrSbN2
Radiation: Cu Kα (λ = 1.5418 Å)
Structure: a structure optimized by DFT (GGA-PBE)
Kinematic intensities with the Lorentz-polarization factor, no thermal factor.

Principal peaks in the range 10 to 90 degrees two-theta, by intensity:
Position (°2θ), I_rel
27.7, 100
29.1, 98
28.4, 31
50.8, 20
28.8, 19
41.5, 18
50.1, 16
39.8, 14

Structural model:
abc: 7.448 6.120 7.680
angles: 90.00 99.77 90.00
Element x y z (fractional)
Ac 0.088 0.250 0.392
Ac 0.267 0.750 0.133
Ac 0.733 0.250 0.867
Ac 0.912 0.750 0.608
Pr 0.436 0.750 0.613
Pr 0.564 0.250 0.387
Sb 0.218 0.250 0.850
Sb 0.782 0.750 0.150
N 0.313 0.503 0.375
N 0.313 0.997 0.375
N 0.687 0.003 0.625
N 0.687 0.497 0.625

# 7
Theoretical powder diffractogram
Compound: KGa3Pt3
Radiation: Cu Kα (λ = 1.5418 Å)
Structure: a structure optimized by DFT (GGA-PBE)
Kinematic intensities with the Lorentz-polarization factor, no thermal factor.

Principal peaks in the range 10 to 90 degrees two-theta, by intensity:
Position (°2θ), I_rel
10.8, 100
43.7, 27
42.2, 26
27.8, 24
32.9, 24
15.1, 22
40.1, 22
47.5, 19

Structural model:
abc: 9.110 9.110 9.110
angles: 45.07 45.07 45.07
Element x y z (fractional)
K 0.168 0.168 0.168
K 0.832 0.832 0.832
Ga 0.071 0.634 0.459
Ga 0.366 0.541 0.929
Ga 0.459 0.071 0.634
Ga 0.541 0.929 0.366
Ga 0.634 0.459 0.071
Ga 0.929 0.366 0.541
Pt 0.040 0.293 0.808
Pt 0.192 0.960 0.707
Pt 0.293 0.808 0.040
Pt 0.707 0.192 0.960
Pt 0.808 0.040 0.293
Pt 0.960 0.707 0.192